For Na5B9C, DFT lattice parameters and positions (PBE) gives the theoretical powder diffractogram in this record (Cu Kα, 1.54184 Å).
Intensities are scaled so that the largest is 100.

Cell and atoms:
Unit cell a=5.1136 b=7.9383 c=9.1654 alpha=75.82 beta=73.84 gamma=71.23
Atoms (fractional coordinates):
Na 0.0000 0.0000 0.0000
Na 0.0000 0.5000 0.5000
Na 0.1960 0.1007 0.5011
Na 0.2004 0.5995 0.0004
Na 0.3977 0.2000 0.9986
Na 0.4033 0.7007 0.4988
Na 0.5967 0.2993 0.5012
Na 0.6023 0.8000 0.0014
Na 0.7996 0.4005 0.9996
Na 0.8040 0.8993 0.4989
B 0.0365 0.8521 0.7503
B 0.0399 0.3500 0.2498
B 0.1632 0.2555 0.7494
B 0.1800 0.7508 0.2497
B 0.2311 0.9561 0.2498
B 0.2387 0.4476 0.7497
B 0.3899 0.8320 0.7502
B 0.4199 0.0506 0.7492
B 0.4285 0.5324 0.2496
B 0.5715 0.4676 0.7504
B 0.5801 0.9494 0.2508
B 0.6101 0.1680 0.2498
B 0.7613 0.5524 0.2503
B 0.7689 0.0439 0.7502
B 0.8200 0.2492 0.7503
B 0.8368 0.7445 0.2506
B 0.9601 0.6500 0.7502
B 0.9635 0.1479 0.2497
C 0.3581 0.3505 0.2493
C 0.6419 0.6494 0.7507

Largest 12 diffraction maxima, sorted by position, 2θ from 15° to 90°:
2θ = 34.6°, I 21; 2θ = 35.1°, I 9; 2θ = 40.5°, I 100; 2θ = 41.0°, I 50; 2θ = 41.7°, I 36; 2θ = 55.2°, I 11; 2θ = 61.7°, I 9; 2θ = 62.7°, I 17; 2θ = 75.3°, I 12; 2θ = 76.8°, I 12; 2θ = 77.2°, I 9; 2θ = 78.1°, I 17


For Na10B17C3, DFT lattice parameters and positions (PBE) gives the theoretical powder diffractogram in this record (Cu Kα, 1.54184 Å).
Intensities are scaled so that the largest is 100.

Cell and atoms:
Unit cell a=5.3107 b=7.5877 c=9.1474 alpha=106.97 beta=90.02 gamma=110.46
Atoms (fractional coordinates):
Na 0.0000 0.0000 0.0000
Na 0.0972 0.1968 0.4932
Na 0.1978 0.3944 0.9867
Na 0.2977 0.5979 0.4962
Na 0.3964 0.7980 0.9969
Na 0.4953 0.9962 0.4893
Na 0.5938 0.1973 0.9928
Na 0.6969 0.3987 0.4974
Na 0.7959 0.5962 0.9891
Na 0.8970 0.7960 0.4904
B 0.0028 0.3100 0.2433
B 0.0792 0.5056 0.7432
B 0.0991 0.8868 0.2430
B 0.1895 0.6843 0.2433
B 0.2665 0.8972 0.7434
B 0.3275 0.3089 0.2432
B 0.3821 0.0924 0.2430
B 0.4068 0.5074 0.7434
B 0.4706 0.2885 0.7433
B 0.5157 0.6856 0.2429
B 0.5959 0.8973 0.7431
B 0.7095 0.1081 0.2432
B 0.7206 0.7076 0.7431
B 0.7867 0.9021 0.2432
B 0.7960 0.2864 0.7433
B 0.8762 0.4965 0.2431
B 0.9108 0.0871 0.7434
C 0.0123 0.7015 0.7430
C 0.2079 0.0927 0.7437
C 0.5831 0.4972 0.2430

Largest 12 diffraction maxima, sorted by position, 2θ from 15° to 90°:
2θ = 33.8°, I 10; 2θ = 35.8°, I 13; 2θ = 39.8°, I 36; 2θ = 41.6°, I 100; 2θ = 56.0°, I 7; 2θ = 61.7°, I 7; 2θ = 61.7°, I 7; 2θ = 65.7°, I 7; 2θ = 75.9°, I 6; 2θ = 77.2°, I 10; 2θ = 79.6°, I 7; 2θ = 80.8°, I 6


For Na5B8C2, DFT lattice parameters and positions (PBE) gives the theoretical powder diffractogram in this record (Cu Kα, 1.54184 Å).
Intensities are scaled so that the largest is 100.

Cell and atoms:
Unit cell a=5.2815 b=7.5201 c=9.1198 alpha=73.17 beta=89.96 gamma=69.48
Atoms (fractional coordinates):
Na 0.0000 0.0000 0.0000
Na 0.0989 0.7990 0.5037
Na 0.1977 0.6006 0.9961
Na 0.2955 0.4008 0.4968
Na 0.4005 0.1968 0.0068
Na 0.5000 0.0000 0.5000
Na 0.5995 0.8032 0.9932
Na 0.7045 0.5992 0.5032
Na 0.8023 0.3995 0.0039
Na 0.9011 0.2010 0.4963
B 0.0303 0.2998 0.7501
B 0.1104 0.0887 0.2500
B 0.1747 0.3074 0.2501
B 0.2178 0.9080 0.7498
B 0.2979 0.7009 0.2496
B 0.3867 0.4896 0.7498
B 0.4241 0.8890 0.2499
B 0.4993 0.3112 0.2498
B 0.5007 0.6888 0.7502
B 0.5759 0.1110 0.7501
B 0.6133 0.5104 0.2502
B 0.7021 0.2991 0.7504
B 0.7822 0.0920 0.2502
B 0.8253 0.6926 0.7499
B 0.8896 0.9113 0.7500
B 0.9697 0.7002 0.2499
C 0.0887 0.4961 0.7492
C 0.2845 0.1040 0.7499
C 0.7155 0.8960 0.2501
C 0.9113 0.5039 0.2508

Largest 12 diffraction maxima, sorted by position, 2θ from 15° to 90°:
2θ = 33.9°, I 13; 2θ = 36.1°, I 17; 2θ = 40.0°, I 50; 2θ = 41.7°, I 38; 2θ = 41.9°, I 100; 2θ = 56.3°, I 9; 2θ = 62.2°, I 18; 2θ = 66.4°, I 7; 2θ = 75.2°, I 7; 2θ = 77.7°, I 13; 2θ = 80.4°, I 7; 2θ = 81.5°, I 8


For Na5B9C, DFT lattice parameters and positions (PBE) gives the theoretical powder diffractogram in this record (Cu Kα, 1.54184 Å).
Intensities are scaled so that the largest is 100.

Cell and atoms:
Unit cell a=11.7454 b=11.7454 c=10.1757 alpha=106.03 beta=106.03 gamma=14.35
Atoms (fractional coordinates):
Na 0.0000 0.0000 0.0000
Na 0.1017 0.1017 0.6947
Na 0.1997 0.1997 0.3948
Na 0.2989 0.2989 0.0940
Na 0.4002 0.4002 0.7982
Na 0.5007 0.5007 0.4960
Na 0.5998 0.5998 0.1975
Na 0.7006 0.7006 0.8939
Na 0.7996 0.7996 0.5958
Na 0.8993 0.8993 0.2944
B 0.0168 0.0168 0.2790
B 0.0837 0.0837 0.4123
B 0.1180 0.1180 0.9816
B 0.2168 0.2168 0.6799
B 0.2834 0.2834 0.8127
B 0.3158 0.3158 0.3773
B 0.3801 0.3801 0.5059
B 0.4168 0.4168 0.0798
B 0.4833 0.4833 0.2124
B 0.5279 0.5279 0.8023
B 0.6169 0.6169 0.4788
B 0.6837 0.6837 0.6129
B 0.7092 0.7092 0.1635
B 0.7763 0.7763 0.2976
B 0.8168 0.8168 0.8799
B 0.8830 0.8830 0.0126
B 0.9230 0.9230 0.5924
B 0.9862 0.9862 0.7189
C 0.1794 0.1794 0.1038
C 0.5870 0.5870 0.9201

Largest 12 diffraction maxima, sorted by position, 2θ from 15° to 90°:
2θ = 34.0°, I 23; 2θ = 35.0°, I 37; 2θ = 39.9°, I 49; 2θ = 40.3°, I 48; 2θ = 40.8°, I 100; 2θ = 41.0°, I 98; 2θ = 41.8°, I 70; 2θ = 61.6°, I 35; 2θ = 63.4°, I 17; 2θ = 75.5°, I 18; 2θ = 76.8°, I 17; 2θ = 77.6°, I 27


For Na5B8C2, DFT lattice parameters and positions (PBE) gives the theoretical powder diffractogram in this record (Cu Kα, 1.54184 Å).
Intensities are scaled so that the largest is 100.

Cell and atoms:
Unit cell a=9.1558 b=9.1558 c=13.6786 alpha=112.12 beta=112.12 gamma=17.70
Atoms (fractional coordinates):
Na 0.0000 0.0000 0.0000
Na 0.0000 0.0000 0.5000
Na 0.1991 0.1991 0.3974
Na 0.1996 0.1996 0.9023
Na 0.3998 0.3998 0.2965
Na 0.4018 0.4018 0.8030
Na 0.5982 0.5982 0.1970
Na 0.6002 0.6002 0.7035
Na 0.8004 0.8004 0.0977
Na 0.8009 0.8009 0.6026
B 0.0264 0.0264 0.3005
B 0.0400 0.0400 0.8328
B 0.1727 0.1727 0.5969
B 0.2235 0.2235 0.1944
B 0.2351 0.2351 0.7228
B 0.3675 0.3675 0.9848
B 0.3699 0.3699 0.4901
B 0.4333 0.4333 0.6179
B 0.5667 0.5667 0.3821
B 0.6301 0.6301 0.5099
B 0.6325 0.6325 0.0152
B 0.7649 0.7649 0.2772
B 0.7765 0.7765 0.8056
B 0.8273 0.8273 0.4031
B 0.9600 0.9600 0.1672
B 0.9736 0.9736 0.6995
C 0.1641 0.1641 0.0769
C 0.4294 0.4294 0.1060
C 0.5706 0.5706 0.8940
C 0.8359 0.8359 0.9231

Largest 12 diffraction maxima, sorted by position, 2θ from 15° to 90°:
2θ = 33.9°, I 14; 2θ = 36.1°, I 16; 2θ = 39.9°, I 24; 2θ = 40.0°, I 24; 2θ = 41.7°, I 38; 2θ = 41.9°, I 100; 2θ = 56.4°, I 9; 2θ = 62.1°, I 17; 2θ = 76.3°, I 13; 2θ = 77.7°, I 8; 2θ = 80.4°, I 9; 2θ = 81.5°, I 8


For Na5B8C2, DFT lattice parameters and positions (PBE) gives the theoretical powder diffractogram in this record (Cu Kα, 1.54184 Å).
Intensities are scaled so that the largest is 100.

Cell and atoms:
Unit cell a=9.1184 b=9.1184 c=13.5763 alpha=112.07 beta=112.07 gamma=17.98
Atoms (fractional coordinates):
Na 0.0000 0.0000 0.0000
Na 0.0001 0.0001 0.4970
Na 0.1977 0.1977 0.3984
Na 0.2007 0.2007 0.9009
Na 0.3996 0.3996 0.7998
Na 0.4017 0.4017 0.2956
Na 0.5978 0.5978 0.1988
Na 0.6016 0.6016 0.6983
Na 0.7981 0.7981 0.5991
Na 0.7999 0.7999 0.0989
B 0.0308 0.0308 0.3101
B 0.0313 0.0313 0.8116
B 0.1638 0.1638 0.5760
B 0.1713 0.1713 0.0924
B 0.2335 0.2335 0.7163
B 0.2374 0.2374 0.2239
B 0.3644 0.3644 0.4783
B 0.3660 0.3660 0.9819
B 0.4273 0.4273 0.6036
B 0.5702 0.5702 0.3889
B 0.5700 0.5700 0.8901
B 0.6346 0.6346 0.0191
B 0.7732 0.7732 0.7961
B 0.8254 0.8254 0.3993
B 0.9601 0.9601 0.1700
B 0.9687 0.9687 0.6855
C 0.4290 0.4290 0.1087
C 0.6328 0.6328 0.5138
C 0.7665 0.7665 0.2813
C 0.8349 0.8349 0.9196

Largest 12 diffraction maxima, sorted by position, 2θ from 15° to 90°:
2θ = 34.1°, I 12; 2θ = 35.8°, I 18; 2θ = 40.2°, I 25; 2θ = 40.2°, I 25; 2θ = 41.7°, I 100; 2θ = 42.0°, I 37; 2θ = 56.3°, I 10; 2θ = 62.2°, I 18; 2θ = 76.5°, I 13; 2θ = 77.9°, I 17; 2θ = 79.7°, I 10; 2θ = 80.9°, I 8